Record 1
# Be2ReHgC
Calculated powder X-ray diffraction pattern, copper Kα. Input: a DFT-relaxed cell (GGA-PBE, Alexandria).
Neutral-atom scattering factors, no anomalous dispersion.

Structure:
```
Be2ReHgC
1.0
4.2733 0.0000 0.0000
0.0000 4.2733 0.0000
0.0000 0.0000 5.1680
Be Re Hg C
2 1 1 1
Direct
0.0000 0.5000 0.0000
0.5000 0.0000 0.0000
0.0000 0.0000 0.0000
0.0000 0.0000 0.5000
0.5000 0.5000 0.5000
```

Peak list (10 most intense, 5° ≤ 2θ ≤ 70°, low angle first)
Position (°2θ)  d/Å  I_rel
20.79  4.273  100
29.56  3.022  45
34.72  2.584  17
40.81  2.211  37
42.30  2.137  20
46.23  1.964  27
47.58  1.911  24
55.83  1.647  17
60.23  1.537  24
69.57  1.351  8

=====

Record 2
# Th2U2Ni15
Calculated powder X-ray diffraction pattern, copper Kα. Input: a DFT-relaxed cell (GGA-PBE, Alexandria).
Neutral-atom scattering factors, no anomalous dispersion.

Structure:
```
Th2U2Ni15
1.0
4.2368 2.4461 4.2854
-4.2368 2.4461 4.2854
0.0000 -4.8922 4.2854
Th U Ni
2 2 15
Direct
0.1445 0.1445 0.1445
0.8555 0.8555 0.8555
0.4032 0.4032 0.4032
0.5968 0.5968 0.5968
0.0000 0.5000 0.5000
0.1577 0.1577 0.6605
0.1577 0.6605 0.1577
0.1853 0.5000 0.8147
0.1853 0.8147 0.5000
0.3395 0.8423 0.8423
0.5000 0.0000 0.5000
0.5000 0.1853 0.8147
0.5000 0.5000 0.0000
0.5000 0.8147 0.1853
0.6605 0.1577 0.1577
0.8147 0.1853 0.5000
0.8147 0.5000 0.1853
0.8423 0.3395 0.8423
0.8423 0.8423 0.3395
```

Peak list (10 most intense, 5° ≤ 2θ ≤ 70°, low angle first)
Position (°2θ)  d/Å  I_rel
20.97  4.237  86
29.65  3.013  26
30.36  2.944  66
36.74  2.446  100
37.19  2.418  60
42.56  2.124  84
42.68  2.118  95
43.08  2.100  61
53.27  1.720  26
62.24  1.492  26

=====

Record 3
# Cs3Zn2Cl7
Calculated powder X-ray diffraction pattern, copper Kα. Input: a DFT-relaxed cell (GGA-PBE, Alexandria).
Neutral-atom scattering factors, no anomalous dispersion.

Structure:
```
Cs3Zn2Cl7
1.0
2.6004 -13.4150 0.0000
2.6004 13.4150 0.0000
0.0000 0.0000 5.0843
Cs Zn Cl
3 2 7
Direct
0.0000 0.0000 0.0000
0.1806 0.8194 0.0000
0.8194 0.1806 0.0000
0.4048 0.5952 0.5000
0.5952 0.4048 0.5000
0.0925 0.9075 0.5000
0.3155 0.6845 0.5000
0.4075 0.5925 0.0000
0.5000 0.5000 0.5000
0.5925 0.4075 0.0000
0.6845 0.3155 0.5000
0.9075 0.0925 0.5000
```

Peak list (10 most intense, 5° ≤ 2θ ≤ 70°, low angle first)
Position (°2θ)  d/Å  I_rel
23.83  3.735  64
24.71  3.603  73
26.53  3.360  68
29.68  3.010  100
33.40  2.683  29
34.49  2.600  52
35.31  2.542  48
44.05  2.056  28
44.74  2.026  40
50.19  1.818  33

=====

Record 4
# SrNdAgPd
Calculated powder X-ray diffraction pattern, copper Kα. Input: a DFT-relaxed cell (GGA-PBE, Alexandria).
Neutral-atom scattering factors, no anomalous dispersion.

Structure:
```
SrNdAgPd
1.0
4.5683 0.0000 0.0000
0.0000 4.1240 0.0000
0.0000 0.0000 11.7429
Sr Nd Ag Pd
2 2 2 2
Direct
0.0000 0.0000 0.0000
0.0000 0.5000 0.5000
0.5000 0.0000 0.2778
0.5000 0.5000 0.7778
0.5000 0.0000 0.5716
0.5000 0.5000 0.0716
0.0000 0.0000 0.7294
0.0000 0.5000 0.2294
```

Peak list (10 most intense, 5° ≤ 2θ ≤ 70°, low angle first)
Position (°2θ)  d/Å  I_rel
15.09  5.871  19
30.17  2.962  100
30.45  2.936  28
31.51  2.839  27
36.38  2.470  28
37.29  2.411  83
39.45  2.284  31
43.91  2.062  23
60.49  1.531  17
69.26  1.357  17

=====

Record 5
# Na3Np3ScTe8
Calculated powder X-ray diffraction pattern, copper Kα. Input: a DFT-relaxed cell (GGA-PBE, Alexandria).
Neutral-atom scattering factors, no anomalous dispersion.

Structure:
```
Na3Np3ScTe8
1.0
4.4003 2.5405 7.5769
-4.4003 2.5405 7.5769
0.0000 -5.0810 7.5769
Na Np Sc Te
3 3 1 8
Direct
0.0000 0.5000 0.5000
0.5000 0.0000 0.5000
0.5000 0.5000 0.0000
0.0000 0.0000 0.5000
0.0000 0.5000 0.0000
0.5000 0.0000 0.0000
0.5000 0.5000 0.5000
0.2449 0.2449 0.2449
0.2522 0.7362 0.7362
0.2638 0.2638 0.7478
0.2638 0.7478 0.2638
0.7362 0.2522 0.7362
0.7362 0.7362 0.2522
0.7478 0.2638 0.2638
0.7551 0.7551 0.7551
```

Peak list (10 most intense, 5° ≤ 2θ ≤ 70°, low angle first)
Position (°2θ)  d/Å  I_rel
11.68  7.577  51
23.67  3.758  18
28.20  3.165  100
36.35  2.472  16
39.56  2.278  38
41.02  2.200  37
42.80  2.113  14
50.52  1.807  20
64.95  1.436  18
67.03  1.396  17

=====

Record 6
# ErMgBi
Calculated powder X-ray diffraction pattern, copper Kα. Input: a DFT-relaxed cell (GGA-PBE, Alexandria).
Neutral-atom scattering factors, no anomalous dispersion.

Structure:
```
ErMgBi
1.0
6.6222 3.8234 3.6071
-6.6222 3.8234 3.6071
0.0000 -7.6467 3.6071
Er Mg Bi
6 6 6
Direct
0.1900 0.3905 0.5173
0.3905 0.5173 0.1900
0.4827 0.8100 0.6095
0.5173 0.1900 0.3905
0.6095 0.4827 0.8100
0.8100 0.6095 0.4827
0.0116 0.7349 0.9229
0.0771 0.9884 0.2651
0.2651 0.0771 0.9884
0.7349 0.9229 0.0116
0.9229 0.0116 0.7349
0.9884 0.2651 0.0771
0.1075 0.6410 0.3083
0.3083 0.1075 0.6410
0.3590 0.6917 0.8925
0.6410 0.3083 0.1075
0.6917 0.8925 0.3590
0.8925 0.3590 0.6917
```

Peak list (10 most intense, 5° ≤ 2θ ≤ 70°, low angle first)
Position (°2θ)  d/Å  I_rel
11.24  7.871  91
22.09  4.024  49
24.68  3.607  91
26.93  3.311  30
29.26  3.052  100
32.65  2.742  88
34.05  2.633  31
38.03  2.366  74
39.25  2.295  28
54.93  1.672  29

=====

Record 7
# Ti4Rh
Calculated powder X-ray diffraction pattern, copper Kα. Input: a DFT-relaxed cell (GGA-PBE, Alexandria).
Neutral-atom scattering factors, no anomalous dispersion.

Structure:
```
Ti4Rh
1.0
2.8857 -5.6676 0.0000
2.8857 5.6676 0.0000
0.0000 0.0000 5.3640
Ti Rh
8 2
Direct
0.0476 0.2676 0.0641
0.2324 0.4524 0.5641
0.2676 0.0476 0.5641
0.4524 0.2324 0.0641
0.5476 0.7676 0.9359
0.7324 0.9524 0.4359
0.7676 0.5476 0.4359
0.9524 0.7324 0.9359
0.2500 0.7500 0.2500
0.7500 0.2500 0.7500
```

Peak list (10 most intense, 5° ≤ 2θ ≤ 70°, low angle first)
Position (°2θ)  d/Å  I_rel
15.64  5.668  37
23.97  3.712  71
32.89  2.723  100
34.89  2.572  30
38.84  2.319  76
44.83  2.022  32
46.22  1.964  50
46.63  1.948  47
51.08  1.788  32
54.32  1.689  32

=====

Record 8
# Ti7Tl3In
Calculated powder X-ray diffraction pattern, copper Kα. Input: a DFT-relaxed cell (GGA-PBE, Alexandria).
Neutral-atom scattering factors, no anomalous dispersion.

Structure:
```
Ti7Tl3In
1.0
-2.5761 4.3791 5.0773
2.5761 -4.3791 5.0773
2.5761 4.3791 -5.0773
Ti Tl In
7 3 1
Direct
0.0000 0.0000 0.0000
0.0830 0.7557 0.3272
0.3128 0.5000 0.8128
0.4285 0.7557 0.6728
0.5715 0.2443 0.3272
0.6872 0.5000 0.1872
0.9170 0.2443 0.6728
0.2701 0.2701 0.0000
0.5000 0.0000 0.5000
0.7299 0.7299 0.0000
0.0000 0.5000 0.5000
```

Peak list (10 most intense, 5° ≤ 2θ ≤ 70°, low angle first)
Position (°2θ)  d/Å  I_rel
20.28  4.379  54
26.67  3.343  91
34.83  2.576  45
35.35  2.539  44
37.86  2.376  17
39.68  2.272  100
40.63  2.220  19
50.47  1.808  28
65.71  1.421  22
66.37  1.408  17